Starting from a PBE-relaxed structure, the X-ray powder pattern of MgAl was simulated for a wavelength of 1.5418 Å.
Kinematic intensities with the Lorentz-polarization factor, no thermal factor.

Structure:
```
data_MgAl
_cell_length_a 4.786
_cell_length_b 3.132
_cell_length_c 5.157
_cell_angle_alpha 90.00
_cell_angle_beta 90.00
_cell_angle_gamma 90.00
_space_group_name_H-M_alt 'P m m a'
_space_group_IT_number 51
loop_
_space_group_symop_operation_xyz
'x,y,z'
'-x,-y,-z'
'-x+1/2,-y,z'
'x+1/2,y,-z'
'x+1/2,-y,-z'
'-x+1/2,y,z'
'-x,y,-z'
'x,-y,z'
loop_
_atom_site_label
_atom_site_type_symbol
_atom_site_fract_x
_atom_site_fract_y
_atom_site_fract_z
_atom_site_occupancy
Mg1 Mg 0.250 0.000 0.179 1
Al1 Al 0.250 0.500 0.663 1
```

Peak list (8 most intense, 5 to 70 degrees two-theta, low angle first)
- 2θ = 33.5°, intensity 22, hkl 0 1 1
- 2θ = 34.8°, intensity 13, hkl 0 0 2
- 2θ = 37.6°, intensity 35, hkl 2 0 0
- 2θ = 38.5°, intensity 100, hkl 1 1 1
- 2θ = 39.7°, intensity 41, hkl 1 0 2
- 2θ = 51.2°, intensity 13, hkl 2 1 1
- 2θ = 61.5°, intensity 15, hkl 0 1 3
- 2θ = 68.5°, intensity 17, hkl 3 1 1